# 1
This entry pairs a crystal structure of TbFe5P3 with its calculated XRD peak list. Radiation: Cu Kα. Structure: a DFT-relaxed cell (PBE, the Materials Project).

Structure:
Cell: 11.829 3.658 10.324 Å, 90.00 90.00 90.00°
Atoms (fractional coordinates):
Tb 0.204 0.250 0.081
Tb 0.296 0.750 0.581
Tb 0.704 0.250 0.419
Tb 0.796 0.750 0.919
Fe 0.010 0.750 0.095
Fe 0.012 0.750 0.706
Fe 0.067 0.750 0.464
Fe 0.176 0.250 0.781
Fe 0.200 0.250 0.377
Fe 0.300 0.750 0.877
Fe 0.324 0.750 0.281
Fe 0.433 0.250 0.964
Fe 0.488 0.250 0.206
Fe 0.490 0.250 0.595
Fe 0.510 0.750 0.405
Fe 0.512 0.750 0.794
Fe 0.567 0.750 0.036
Fe 0.676 0.250 0.719
Fe 0.700 0.250 0.123
Fe 0.800 0.750 0.623
Fe 0.824 0.750 0.219
Fe 0.933 0.250 0.536
Fe 0.988 0.250 0.294
Fe 0.990 0.250 0.905
P 0.104 0.750 0.898
P 0.113 0.250 0.579
P 0.129 0.750 0.267
P 0.371 0.250 0.767
P 0.387 0.750 0.079
P 0.396 0.250 0.398
P 0.604 0.750 0.602
P 0.613 0.250 0.921
P 0.629 0.750 0.233
P 0.871 0.250 0.733
P 0.887 0.750 0.421
P 0.896 0.250 0.102

Main lines, sorted by position (10 to 90 degrees two-theta):
2θ (°)  Rel. int.
26.94  20
30.03  13
35.60  15
37.81  18
39.03  100
39.17  53
40.19  25
43.60  12
49.86  32
53.57  21
76.20  14
86.25  13

=====

# 2
This entry pairs a crystal structure of ThFe4P12 with its calculated XRD peak list. Radiation: Cu Kα. Structure: a DFT-relaxed cell (PBE, the Materials Project).

Structure:
Cell: 6.759 6.759 6.759 Å, 109.47 109.47 109.47°
Atoms (fractional coordinates):
Th 0.000 0.000 0.000
Fe 0.000 0.000 0.500
Fe 0.000 0.500 0.000
Fe 0.500 0.000 0.000
Fe 0.500 0.500 0.500
P 0.152 0.351 0.504
P 0.152 0.649 0.801
P 0.199 0.848 0.351
P 0.351 0.199 0.848
P 0.351 0.504 0.152
P 0.496 0.848 0.649
P 0.504 0.152 0.351
P 0.649 0.496 0.848
P 0.649 0.801 0.152
P 0.801 0.152 0.649
P 0.848 0.351 0.199
P 0.848 0.649 0.496

Main lines, sorted by position (10 to 90 degrees two-theta):
2θ (°)  Rel. int.
16.06  91
28.00  55
32.45  89
36.40  100
43.38  90
46.55  16
57.88  59
60.49  52
65.51  16
75.02  14
77.32  21
84.12  17

=====

# 3
This entry pairs a crystal structure of Th5Fe19P12 with its calculated XRD peak list. Radiation: Cu Kα. Structure: a DFT-relaxed cell (PBE, the Materials Project).

Structure:
Cell: 14.542 14.542 9.222 Å, 102.89 102.89 14.86°
Atoms (fractional coordinates):
Th 0.000 0.000 0.000
Th 0.082 0.082 0.691
Th 0.323 0.323 0.725
Th 0.677 0.677 0.275
Th 0.918 0.918 0.309
Fe 0.027 0.027 0.357
Fe 0.116 0.116 0.390
Fe 0.157 0.157 0.993
Fe 0.206 0.206 0.780
Fe 0.258 0.258 0.400
Fe 0.280 0.280 0.994
Fe 0.347 0.347 0.402
Fe 0.412 0.412 0.044
Fe 0.434 0.434 0.793
Fe 0.500 0.500 0.500
Fe 0.566 0.566 0.207
Fe 0.588 0.588 0.956
Fe 0.653 0.653 0.598
Fe 0.720 0.720 0.006
Fe 0.742 0.742 0.600
Fe 0.794 0.794 0.220
Fe 0.843 0.843 0.007
Fe 0.884 0.884 0.610
Fe 0.973 0.973 0.643
P 0.101 0.101 0.127
P 0.195 0.195 0.530
P 0.233 0.233 0.148
P 0.347 0.347 0.155
P 0.419 0.419 0.550
P 0.487 0.487 0.231
P 0.513 0.513 0.769
P 0.581 0.581 0.450
P 0.653 0.653 0.845
P 0.767 0.767 0.852
P 0.805 0.805 0.470
P 0.899 0.899 0.873

Main lines, sorted by position (10 to 90 degrees two-theta):
2θ (°)  Rel. int.
17.69  34
25.55  34
29.83  22
32.79  24
35.63  58
35.82  28
37.02  54
37.95  100
39.33  47
40.49  40
41.08  24
48.40  49

=====

# 4
This entry pairs a crystal structure of TiFeP with its calculated XRD peak list. Radiation: Cu Kα. Structure: a DFT-relaxed cell (PBE, the Materials Project).

Structure:
Cell: 6.002 3.618 6.795 Å, 90.00 90.00 90.00°
Atoms (fractional coordinates):
Ti 0.020 0.250 0.183
Ti 0.480 0.750 0.683
Ti 0.520 0.250 0.317
Ti 0.980 0.750 0.817
Fe 0.149 0.250 0.562
Fe 0.351 0.750 0.062
Fe 0.649 0.250 0.938
Fe 0.851 0.750 0.438
P 0.224 0.750 0.381
P 0.276 0.250 0.881
P 0.724 0.750 0.119
P 0.776 0.250 0.619

Main lines, sorted by position (10 to 90 degrees two-theta):
2θ (°)  Rel. int.
19.74  21
31.74  16
38.99  42
39.36  100
40.09  22
41.28  95
42.67  28
47.36  100
49.87  21
50.46  64
71.70  22
78.44  27

=====

# 5
This entry pairs a crystal structure of TiFeP with its calculated XRD peak list. Radiation: Cu Kα. Structure: a DFT-relaxed cell (PBE, the Materials Project).

Structure:
Cell: 5.971 5.971 3.577 Å, 90.00 90.00 120.00°
Atoms (fractional coordinates):
Ti 0.000 0.420 0.000
Ti 0.420 0.000 0.000
Ti 0.580 0.580 0.000
Fe 0.000 0.757 0.500
Fe 0.243 0.243 0.500
Fe 0.757 0.000 0.500
P 0.000 0.000 0.000
P 0.333 0.667 0.500
P 0.667 0.333 0.500

Main lines, sorted by position (10 to 90 degrees two-theta):
2θ (°)  Rel. int.
17.15  8
39.31  100
43.17  87
46.46  61
51.07  30
53.13  15
53.42  28
70.77  13
71.50  30
76.80  10
86.41  21
88.25  8

=====

# 6
This entry pairs a crystal structure of Tm2Fe12P7 with its calculated XRD peak list. Radiation: Cu Kα. Structure: a DFT-relaxed cell (PBE, the Materials Project).

Structure:
Cell: 8.941 8.941 3.629 Å, 90.00 90.00 120.00°
Atoms (fractional coordinates):
Tm 0.000 0.000 0.000
Tm 0.333 0.667 0.500
Fe 0.038 0.761 0.500
Fe 0.099 0.383 0.000
Fe 0.239 0.277 0.500
Fe 0.283 0.901 0.000
Fe 0.452 0.237 0.000
Fe 0.512 0.059 0.500
Fe 0.547 0.488 0.500
Fe 0.617 0.717 0.000
Fe 0.723 0.962 0.500
Fe 0.763 0.215 0.000
Fe 0.785 0.548 0.000
Fe 0.941 0.453 0.500
P 0.068 0.623 0.000
P 0.256 0.037 0.500
P 0.377 0.445 0.000
P 0.555 0.932 0.000
P 0.667 0.333 0.500
P 0.781 0.744 0.500
P 0.963 0.219 0.500

Main lines, sorted by position (10 to 90 degrees two-theta):
2θ (°)  Rel. int.
27.14  15
30.55  10
34.76  12
39.56  100
40.35  9
42.08  10
49.31  9
50.28  17
54.29  16
57.79  12
77.13  11
87.20  11

=====

# 7
This entry pairs a crystal structure of UFe2P2 with its calculated XRD peak list. Radiation: Cu Kα. Structure: a DFT-relaxed cell (PBE, the Materials Project).

Structure:
Cell: 3.801 3.801 9.339 Å, 90.00 90.00 90.00°
Atoms (fractional coordinates):
U 0.000 0.000 0.000
U 0.500 0.500 0.500
Fe 0.000 0.500 0.250
Fe 0.000 0.500 0.750
Fe 0.500 0.000 0.250
Fe 0.500 0.000 0.750
P 0.000 0.000 0.376
P 0.000 0.000 0.624
P 0.500 0.500 0.124
P 0.500 0.500 0.876

Main lines, sorted by position (10 to 90 degrees two-theta):
2θ (°)  Rel. int.
25.30  69
33.34  15
37.34  57
38.64  100
47.86  31
54.76  19
54.90  19
62.22  26
63.07  14
69.82  15
75.64  16
82.93  26

=====

# 8
This entry pairs a crystal structure of U6Fe30P19 with its calculated XRD peak list. Radiation: Cu Kα. Structure: a DFT-relaxed cell (PBE, the Materials Project).

Structure:
Cell: 14.629 3.599 14.630 Å, 90.00 119.98 90.00°
Atoms (fractional coordinates):
U 0.000 0.000 0.000
U 0.098 0.500 0.705
U 0.294 0.500 0.395
U 0.493 0.000 0.806
U 0.687 0.000 0.493
U 0.788 0.500 0.198
Fe 0.045 0.500 0.324
Fe 0.121 0.000 0.869
Fe 0.129 0.000 0.252
Fe 0.162 0.500 0.138
Fe 0.169 0.500 0.527
Fe 0.241 0.000 0.683
Fe 0.256 0.000 0.070
Fe 0.267 0.500 0.940
Fe 0.317 0.000 0.559
Fe 0.355 0.500 0.830
Fe 0.360 0.500 0.226
Fe 0.422 0.000 0.991
Fe 0.436 0.000 0.372
Fe 0.469 0.500 0.640
Fe 0.502 0.000 0.238
Fe 0.547 0.500 0.518
Fe 0.553 0.500 0.133
Fe 0.618 0.000 0.673
Fe 0.624 0.000 0.057
Fe 0.657 0.500 0.945
Fe 0.663 0.500 0.331
Fe 0.743 0.000 0.875
Fe 0.809 0.000 0.363
Fe 0.820 0.000 0.750
Fe 0.853 0.500 0.634
Fe 0.858 0.500 0.024
Fe 0.929 0.000 0.175
Fe 0.934 0.000 0.564
Fe 0.966 0.500 0.448
Fe 0.975 0.500 0.835
P 0.022 0.500 0.162
P 0.076 0.000 0.545
P 0.138 0.500 0.974
P 0.156 0.000 0.416
P 0.264 0.000 0.846
P 0.269 0.000 0.229
P 0.330 0.500 0.665
P 0.394 0.500 0.100
P 0.457 0.000 0.535
P 0.519 0.500 0.970
P 0.523 0.500 0.354
P 0.630 0.500 0.782
P 0.647 0.000 0.224
P 0.711 0.500 0.654
P 0.765 0.000 0.036
P 0.828 0.500 0.471
P 0.839 0.500 0.863
P 0.947 0.000 0.337
P 0.958 0.000 0.728

Main lines, sorted by position (10 to 90 degrees two-theta):
2θ (°)  Rel. int.
18.53  28
27.62  19
30.76  13
35.71  18
37.56  16
37.84  24
39.87  100
50.74  19
54.69  20
56.95  14
69.80  13
77.83  14

=====

# 9
This entry pairs a crystal structure of Fe2P12W with its calculated XRD peak list. Radiation: Cu Kα. Structure: a DFT-relaxed cell (PBE, the Materials Project).

Structure:
Cell: 13.760 5.686 11.122 Å, 90.00 90.00 90.00°
Atoms (fractional coordinates):
Fe 0.150 0.104 0.041
Fe 0.150 0.896 0.541
Fe 0.350 0.396 0.541
Fe 0.350 0.604 0.041
Fe 0.650 0.396 0.959
Fe 0.650 0.604 0.459
Fe 0.850 0.104 0.459
Fe 0.850 0.896 0.959
P 0.009 0.256 0.102
P 0.009 0.744 0.602
P 0.087 0.062 0.856
P 0.087 0.938 0.356
P 0.092 0.265 0.561
P 0.092 0.735 0.061
P 0.168 0.483 0.304
P 0.168 0.517 0.804
P 0.189 0.119 0.229
P 0.189 0.881 0.729
P 0.203 0.467 0.000
P 0.203 0.533 0.500
P 0.297 0.033 0.500
P 0.297 0.967 0.000
P 0.311 0.381 0.729
P 0.311 0.619 0.229
P 0.332 0.017 0.804
P 0.332 0.983 0.304
P 0.408 0.235 0.061
P 0.408 0.765 0.561
P 0.413 0.438 0.356
P 0.413 0.562 0.856
P 0.491 0.244 0.602
P 0.491 0.756 0.102
P 0.509 0.244 0.898
P 0.509 0.756 0.398
P 0.587 0.438 0.144
P 0.587 0.562 0.644
P 0.592 0.235 0.439
P 0.592 0.765 0.939
P 0.668 0.017 0.696
P 0.668 0.983 0.196
P 0.689 0.381 0.771
P 0.689 0.619 0.271
P 0.703 0.033 0.000
P 0.703 0.967 0.500
P 0.797 0.467 0.500
P 0.797 0.533 0.000
P 0.811 0.119 0.271
P 0.811 0.881 0.771
P 0.832 0.483 0.196
P 0.832 0.517 0.696
P 0.908 0.265 0.939
P 0.908 0.735 0.439
P 0.913 0.062 0.644
P 0.913 0.938 0.144
P 0.991 0.256 0.398
P 0.991 0.744 0.898
W 0.000 0.399 0.750
W 0.000 0.601 0.250
W 0.500 0.101 0.250
W 0.500 0.899 0.750

Main lines, sorted by position (10 to 90 degrees two-theta):
2θ (°)  Rel. int.
12.87  56
20.54  66
23.29  100
24.94  45
26.22  44
30.56  46
32.51  37
34.89  34
36.27  34
48.23  50
51.89  69
52.22  39